[1]
This entry pairs a crystal structure of V2SnO7 with its computed powder diffraction line list. Radiation: Cu Kα (weighted mean of Kα1 and Kα2). Structure: a cell relaxed with GGA+U.
Lines closer than 0.1° are merged.

Cell and atoms:
Cell lengths 8.922, 8.922, 8.922 Å; angles 90.00, 90.00, 90.00 degrees
Space group Pa-3 (No. 205)
Asymmetric unit:
V1 0.116 0.116 0.116 x8
Sn1 0.000 0.000 0.500 x4
O1 0.000 0.000 0.000 x4
O2 0.061 0.201 0.595 x24

Largest 6 diffraction maxima, sorted by position, 5° ≤ 2θ ≤ 70°:
- 17.2 deg, I 50.5
- 19.9 deg, I 100.0
- 22.3 deg, I 52.1
- 24.4 deg, I 46.3
- 28.3 deg, I 45.5
- 33.3 deg, I 59.1


[2]
This entry pairs a crystal structure of VSnO with its computed powder diffraction line list. Radiation: Cu Kα (weighted mean of Kα1 and Kα2). Structure: a cell relaxed with GGA+U.
Lines closer than 0.1° are merged.

Cell and atoms:
Cell lengths 5.962, 7.066, 20.142 Å; angles 90.00, 90.00, 90.00 degrees
Space group Fddd (No. 70, origin choice 2)
Asymmetric unit:
V1 0.125 0.125 0.055 x16
Sn1 0.125 0.125 0.551 x16
O1 0.125 0.304 0.125 x16

Largest 6 diffraction maxima, sorted by position, 5° ≤ 2θ ≤ 70°:
- 26.7 deg, I 59.8
- 31.3 deg, I 67.7
- 36.9 deg, I 100.0
- 39.6 deg, I 62.6
- 40.5 deg, I 45.3
- 54.3 deg, I 47.0


[3]
This entry pairs a crystal structure of SnW2O8 with its computed powder diffraction line list. Radiation: Cu Kα (weighted mean of Kα1 and Kα2). Structure: a cell relaxed with GGA+U.
Lines closer than 0.1° are merged.

Cell and atoms:
Cell lengths 5.074, 5.498, 6.810 Å; angles 110.65, 91.09, 104.64 degrees
Space group P-1 (No. 2)
Asymmetric unit:
Sn1 0.000 0.000 0.000 x1
W1 0.255 0.470 0.817 x2
O1 0.088 0.760 0.156 x2
O2 0.134 0.731 0.755 x2
O3 0.337 0.281 0.576 x2
O4 0.378 0.296 0.027 x2

Largest 6 diffraction maxima, sorted by position, 5° ≤ 2θ ≤ 70°:
- 14.0 deg, I 100.0
- 17.9 deg, I 42.7
- 24.3 deg, I 73.0
- 28.2 deg, I 48.8
- 28.3 deg, I 48.6
- 38.2 deg, I 39.8


[4]
This entry pairs a crystal structure of SnW3O9 with its computed powder diffraction line list. Radiation: Cu Kα (weighted mean of Kα1 and Kα2). Structure: a cell relaxed with GGA+U.
Lines closer than 0.1° are merged.

Cell and atoms:
Cell lengths 7.584, 7.721, 7.616 Å; angles 90.00, 119.64, 90.00 degrees
Space group P2_1/m (No. 11)
Asymmetric unit:
Sn1 0.051 0.250 0.487 x2
W1 0.001 0.750 0.999 x2
W2 0.492 0.750 0.498 x2
W3 0.498 0.250 0.000 x2
O1 0.000 0.000 0.000 x2
O2 0.199 0.750 0.904 x2
O3 0.203 0.250 0.305 x2
O4 0.203 0.250 0.923 x2
O5 0.224 0.750 0.283 x2
O6 0.393 0.250 0.692 x2
O7 0.429 0.750 0.707 x2
O8 0.500 0.000 0.000 x2
O9 0.500 0.000 0.500 x2

Largest 6 diffraction maxima, sorted by position, 5° ≤ 2θ ≤ 70°:
- 23.0 deg, I 93.8
- 26.9 deg, I 56.1
- 27.1 deg, I 100.0
- 35.8 deg, I 74.5
- 35.9 deg, I 33.8
- 55.1 deg, I 30.6